# 1
This entry pairs a crystal structure of SmSiTe with its theoretical powder X-ray diffraction pattern. Radiation: Cu Kα (weighted mean of Kα1 and Kα2). Structure: a cell relaxed with GGA-PBE.

Most intense lines, 10° ≤ 2θ ≤ 90°, in order of falling intensity:
- 30.37°, I = 100.0
- 24.86°, I = 44.4
- 43.54°, I = 42.3
- 14.86°, I = 34.9
- 31.92°, I = 25.9
- 43.44°, I = 24.4
- 54.01°, I = 19.6
- 37.27°, I = 17.6
- 71.79°, I = 16.6
- 64.93°, I = 15.4
- 79.91°, I = 15.2
- 46.26°, I = 12.5

Crystal structure
Cell lengths 12.1590, 12.1590, 12.1590 Å; angles 19.69, 19.69, 19.69 degrees
Sites, in units of the cell vectors:
Sm: 0.0627 0.0627 0.0627
Sm: 0.9373 0.9373 0.9373
Si: 0.3417 0.3417 0.3417
Si: 0.6583 0.6583 0.6583
Te: 0.2186 0.2186 0.2186
Te: 0.7814 0.7814 0.7814



# 2
This entry pairs a crystal structure of SmThSi4 with its theoretical powder X-ray diffraction pattern. Radiation: Cu Kα (weighted mean of Kα1 and Kα2). Structure: a cell relaxed with GGA-PBE.

Most intense lines, 10° ≤ 2θ ≤ 90°, in order of falling intensity:
- 33.23°, I = 100.0
- 28.57°, I = 57.4
- 22.49°, I = 54.7
- 38.12°, I = 42.4
- 44.05°, I = 29.3
- 24.71°, I = 27.9
- 59.64°, I = 23.2
- 53.34°, I = 20.8
- 49.51°, I = 20.1
- 74.09°, I = 20.1
- 51.15°, I = 16.4
- 68.40°, I = 15.5

Crystal structure
Cell lengths 7.7713, 7.7713, 7.7713 Å; angles 149.32, 149.32, 43.94 degrees
Sites, in units of the cell vectors:
Sm: 0.0000 0.0000 0.0000
Th: 0.2500 0.7500 0.5000
Si: 0.4175 0.4175 0.0000
Si: 0.5825 0.5825 0.0000
Si: 0.6660 0.1660 0.5000
Si: 0.8340 0.3340 0.5000



# 3
This entry pairs a crystal structure of SmTh2Si2 with its theoretical powder X-ray diffraction pattern. Radiation: Cu Kα (weighted mean of Kα1 and Kα2). Structure: a cell relaxed with GGA-PBE.

Most intense lines, 10° ≤ 2θ ≤ 90°, in order of falling intensity:
- 33.39°, I = 100.0
- 31.27°, I = 94.0
- 25.65°, I = 59.2
- 36.60°, I = 41.2
- 53.25°, I = 33.4
- 54.64°, I = 31.7
- 26.60°, I = 28.7
- 48.33°, I = 24.4
- 32.62°, I = 23.6
- 57.51°, I = 22.6
- 42.75°, I = 22.2
- 50.53°, I = 20.0

Crystal structure
Cell lengths 7.7644, 7.7644, 4.2301 Å; angles 90.00, 90.00, 90.00 degrees
Sites, in units of the cell vectors:
Sm: 0.0000 0.0000 0.0000
Sm: 0.5000 0.5000 0.0000
Th: 0.1795 0.3205 0.5000
Th: 0.3205 0.8205 0.5000
Th: 0.6795 0.1795 0.5000
Th: 0.8205 0.6795 0.5000
Si: 0.1140 0.6140 0.0000
Si: 0.3860 0.1140 0.0000
Si: 0.6140 0.8860 0.0000
Si: 0.8860 0.3860 0.0000



# 4
This entry pairs a crystal structure of SmTh4Si4 with its theoretical powder X-ray diffraction pattern. Radiation: Cu Kα (weighted mean of Kα1 and Kα2). Structure: a cell relaxed with GGA-PBE.

Most intense lines, 10° ≤ 2θ ≤ 90°, in order of falling intensity:
- 26.46°, I = 100.0
- 31.06°, I = 87.0
- 31.44°, I = 52.7
- 44.50°, I = 32.3
- 52.52°, I = 30.2
- 34.56°, I = 26.8
- 31.55°, I = 26.6
- 47.07°, I = 26.2
- 20.25°, I = 25.4
- 51.40°, I = 24.1
- 24.56°, I = 23.8
- 42.40°, I = 20.5

Crystal structure
Cell lengths 9.1061, 9.1061, 5.9911 Å; angles 90.00, 90.00, 90.00 degrees
Sites, in units of the cell vectors:
Sm: 0.2500 0.2500 0.2500
Sm: 0.7500 0.7500 0.7500
Th: 0.0704 0.6590 0.1207
Th: 0.1590 0.9296 0.6207
Th: 0.3410 0.5704 0.6207
Th: 0.4296 0.8410 0.1207
Th: 0.5704 0.1590 0.8793
Th: 0.6590 0.4296 0.3793
Th: 0.8410 0.0704 0.3793
Th: 0.9296 0.3410 0.8793
Si: 0.0193 0.6146 0.6183
Si: 0.1146 0.9807 0.1183
Si: 0.3854 0.5193 0.1183
Si: 0.4807 0.8854 0.6183
Si: 0.5193 0.1146 0.3817
Si: 0.6146 0.4807 0.8817
Si: 0.8854 0.0193 0.8817
Si: 0.9807 0.3854 0.3817



# 5
This entry pairs a crystal structure of Sm2ThSi4 with its theoretical powder X-ray diffraction pattern. Radiation: Cu Kα (weighted mean of Kα1 and Kα2). Structure: a cell relaxed with GGA-PBE.

Most intense lines, 10° ≤ 2θ ≤ 90°, in order of falling intensity:
- 32.13°, I = 100.0
- 27.03°, I = 65.5
- 32.57°, I = 55.7
- 21.03°, I = 40.5
- 51.69°, I = 33.5
- 36.72°, I = 29.5
- 30.22°, I = 28.7
- 50.25°, I = 26.1
- 57.19°, I = 22.7
- 41.53°, I = 22.3
- 45.64°, I = 17.1
- 42.29°, I = 15.2

Crystal structure
Cell lengths 9.3481, 9.3481, 9.3481 Å; angles 155.45, 153.10, 36.74 degrees
Sites, in units of the cell vectors:
Sm: 0.1821 0.1821 0.0000
Sm: 0.8179 0.8179 0.0000
Th: 0.0000 0.5000 0.5000
Si: 0.3532 0.3532 0.0000
Si: 0.4340 0.9340 0.5000
Si: 0.5660 0.0660 0.5000
Si: 0.6468 0.6468 0.0000



# 6
This entry pairs a crystal structure of Sm3Tm3Si4 with its theoretical powder X-ray diffraction pattern. Radiation: Cu Kα (weighted mean of Kα1 and Kα2). Structure: a cell relaxed with GGA-PBE.

Most intense lines, 10° ≤ 2θ ≤ 90°, in order of falling intensity:
- 31.77°, I = 100.0
- 26.77°, I = 66.0
- 34.09°, I = 55.6
- 33.94°, I = 42.3
- 38.18°, I = 25.5
- 37.98°, I = 25.3
- 42.16°, I = 25.3
- 55.11°, I = 21.4
- 26.58°, I = 19.7
- 67.64°, I = 15.5
- 56.26°, I = 15.3
- 58.18°, I = 15.0

Crystal structure
Cell lengths 4.2869, 7.4727, 7.4727 Å; angles 90.49, 90.00, 90.00 degrees
Sites, in units of the cell vectors:
Sm: 0.0000 0.0000 0.0000
Sm: 0.0000 0.4964 0.8508
Sm: 0.0000 0.8508 0.4964
Tm: 0.0000 0.3515 0.3515
Tm: 0.5000 0.1744 0.6758
Tm: 0.5000 0.6758 0.1744
Si: 0.5000 0.0639 0.2943
Si: 0.5000 0.2943 0.0639
Si: 0.5000 0.5534 0.5534
Si: 0.5000 0.7891 0.7891